Calculated powder XRD pattern
Compound: Ho2Er3Ga3
Radiation: copper Kα
Structure: a structure optimized by DFT (GGA-PBE)
Kinematic intensities with the Lorentz-polarization factor, no thermal factor.

Atomic structure:
Cell: 6.5852 4.7825 6.6180 Å, 90.00 107.16 90.00°
Sites, in units of the cell vectors:
Ho  0.0000  0.0000  0.0000
Ho  0.2061  0.5000  0.7111
Er  0.4930  0.0000  0.5010
Er  0.5035  0.0000  0.0059
Er  0.7953  0.5000  0.2922
Ga  0.3072  0.5000  0.1994
Ga  0.6942  0.5000  0.8058
Ga  0.9923  0.0000  0.5007

The 10 most intense peaks (2θ = 5–70°), by angle:
2θ = 25.05°, intensity 21
2θ = 33.50°, intensity 21
2θ = 33.75°, intensity 46
2θ = 33.99°, intensity 100
2θ = 34.11°, intensity 96
2θ = 37.62°, intensity 44
2θ = 46.33°, intensity 17
2θ = 51.42°, intensity 28
2θ = 61.14°, intensity 15
2θ = 65.62°, intensity 32

***

Calculated powder XRD pattern
Compound: Ho2ErMg3Ga3
Radiation: copper Kα
Structure: a structure optimized by DFT (GGA-PBE)
Kinematic intensities with the Lorentz-polarization factor, no thermal factor.

Atomic structure:
Cell: 4.4157 7.2358 7.2358 Å, 119.92 90.00 90.00°
Sites, in units of the cell vectors:
Ho  0.0000  0.2141  0.7859
Ho  0.0000  0.7859  0.2141
Er  0.0000  0.3579  0.3579
Mg  0.5000  0.0287  0.0287
Mg  0.5000  0.5427  0.7857
Mg  0.5000  0.7857  0.5427
Ga  0.0000  0.7849  0.7849
Ga  0.5000  0.1196  0.4522
Ga  0.5000  0.4522  0.1196

The 10 most intense peaks (2θ = 5–70°), by angle:
2θ = 20.11°, intensity 26
2θ = 24.60°, intensity 21
2θ = 28.48°, intensity 34
2θ = 31.97°, intensity 72
2θ = 35.11°, intensity 100
2θ = 37.97°, intensity 24
2θ = 40.87°, intensity 23
2θ = 43.32°, intensity 24
2θ = 56.92°, intensity 29
2θ = 68.71°, intensity 24

***

Calculated powder XRD pattern
Compound: ErTmGa2I2
Radiation: copper Kα
Structure: a structure optimized by DFT (GGA-PBE)
Kinematic intensities with the Lorentz-polarization factor, no thermal factor.

Atomic structure:
Cell: 4.1656 4.1656 12.0564 Å, 90.00 90.00 120.00°
Sites, in units of the cell vectors:
Er  0.0000  0.0000  0.0000
Tm  0.0000  0.0000  0.6702
Ga  0.3333  0.6667  0.8635
Ga  0.6667  0.3333  0.8066
I  0.3333  0.6667  0.5064
I  0.6667  0.3333  0.1640

The 10 most intense peaks (2θ = 5–70°), by angle:
2θ = 7.33°, intensity 72
2θ = 14.69°, intensity 11
2θ = 25.78°, intensity 37
2θ = 28.84°, intensity 41
2θ = 33.38°, intensity 100
2θ = 38.94°, intensity 11
2θ = 43.45°, intensity 46
2θ = 45.23°, intensity 16
2θ = 55.87°, intensity 23
2θ = 64.45°, intensity 28

***

Calculated powder XRD pattern
Compound: ErInGa4Ir
Radiation: copper Kα
Structure: a structure optimized by DFT (GGA-PBE)
Kinematic intensities with the Lorentz-polarization factor, no thermal factor.

Atomic structure:
Cell: 4.4313 4.4313 6.8542 Å, 90.00 90.00 90.00°
Sites, in units of the cell vectors:
Er  0.0000  0.0000  0.0000
In  0.5000  0.5000  0.0000
Ga  0.0000  0.5000  0.3056
Ga  0.0000  0.5000  0.6944
Ga  0.5000  0.0000  0.3056
Ga  0.5000  0.0000  0.6944
Ir  0.0000  0.0000  0.5000

The 10 most intense peaks (2θ = 5–70°), by angle:
2θ = 20.04°, intensity 31
2θ = 23.91°, intensity 14
2θ = 31.39°, intensity 14
2θ = 33.04°, intensity 18
2θ = 38.95°, intensity 100
2θ = 40.72°, intensity 53
2θ = 53.43°, intensity 15
2θ = 58.95°, intensity 18
2θ = 61.70°, intensity 10
2θ = 69.31°, intensity 12

***

Calculated powder XRD pattern
Compound: Er3Mg3InGa2
Radiation: copper Kα
Structure: a structure optimized by DFT (GGA-PBE)
Kinematic intensities with the Lorentz-polarization factor, no thermal factor.

Atomic structure:
Cell: 4.5277 7.2704 7.2704 Å, 119.89 90.00 90.00°
Sites, in units of the cell vectors:
Er  0.0000  0.0000  0.0000
Er  0.0000  0.4378  0.8757
Er  0.0000  0.8757  0.4378
Mg  0.5000  0.1875  0.4374
Mg  0.5000  0.4374  0.1875
Mg  0.5000  0.6877  0.6877
In  0.0000  0.4364  0.4364
Ga  0.5000  0.1039  0.7716
Ga  0.5000  0.7716  0.1039

The 10 most intense peaks (2θ = 5–70°), by angle:
2θ = 19.61°, intensity 27
2θ = 28.33°, intensity 39
2θ = 31.55°, intensity 42
2θ = 34.69°, intensity 100
2θ = 37.78°, intensity 15
2θ = 39.82°, intensity 21
2θ = 49.59°, intensity 17
2θ = 56.45°, intensity 19
2θ = 67.75°, intensity 13
2θ = 69.00°, intensity 13

***

Calculated powder XRD pattern
Compound: Er3Mg3InGa2
Radiation: copper Kα
Structure: a structure optimized by DFT (GGA-PBE)
Kinematic intensities with the Lorentz-polarization factor, no thermal factor.

Atomic structure:
Cell: 7.2690 7.2690 4.5284 Å, 90.00 90.00 120.00°
Sites, in units of the cell vectors:
Er  0.0000  0.4396  0.0000
Er  0.4396  0.0000  0.0000
Er  0.5604  0.5604  0.0000
Mg  0.0000  0.7508  0.5000
Mg  0.2492  0.2492  0.5000
Mg  0.7508  0.0000  0.5000
In  0.0000  0.0000  0.0000
Ga  0.3333  0.6667  0.5000
Ga  0.6667  0.3333  0.5000

The 10 most intense peaks (2θ = 5–70°), by angle:
2θ = 19.60°, intensity 27
2θ = 28.35°, intensity 39
2θ = 31.56°, intensity 40
2θ = 34.71°, intensity 100
2θ = 37.81°, intensity 15
2θ = 39.81°, intensity 21
2θ = 49.60°, intensity 17
2θ = 52.41°, intensity 13
2θ = 56.49°, intensity 19
2θ = 69.00°, intensity 13

***

Calculated powder XRD pattern
Compound: LaErGa4Ir2
Radiation: copper Kα
Structure: a structure optimized by DFT (GGA-PBE)
Kinematic intensities with the Lorentz-polarization factor, no thermal factor.

Atomic structure:
Cell: 4.2415 7.2333 5.4852 Å, 90.00 112.38 90.00°
Sites, in units of the cell vectors:
La  0.0000  0.0000  0.0000
Er  0.8541  0.5000  0.7071
Ga  0.2854  0.2042  0.5651
Ga  0.2854  0.7958  0.5651
Ga  0.5737  0.3101  0.1477
Ga  0.5737  0.6899  0.1477
Ir  0.1390  0.5000  0.2796
Ir  0.7244  0.0000  0.4401

The 10 most intense peaks (2θ = 5–70°), by angle:
2θ = 17.49°, intensity 24
2θ = 24.61°, intensity 43
2θ = 33.75°, intensity 100
2θ = 36.07°, intensity 59
2θ = 36.27°, intensity 60
2θ = 37.58°, intensity 63
2θ = 42.26°, intensity 19
2θ = 42.63°, intensity 48
2θ = 44.12°, intensity 34
2θ = 57.93°, intensity 18

***

Calculated powder XRD pattern
Compound: ErTmGa4Ir2
Radiation: copper Kα
Structure: a structure optimized by DFT (GGA-PBE)
Kinematic intensities with the Lorentz-polarization factor, no thermal factor.

Atomic structure:
Cell: 6.8688 4.2501 9.9950 Å, 90.00 90.00 90.00°
Sites, in units of the cell vectors:
Er  0.0000  0.0000  0.0000
Er  0.0000  0.5000  0.5000
Tm  0.5000  0.0000  0.8425
Tm  0.5000  0.5000  0.3425
Ga  0.1975  0.0000  0.2843
Ga  0.1975  0.5000  0.7843
Ga  0.3031  0.0000  0.5586
Ga  0.3031  0.5000  0.0586
Ga  0.6969  0.0000  0.5586
Ga  0.6969  0.5000  0.0586
Ga  0.8025  0.0000  0.2843
Ga  0.8025  0.5000  0.7843
Ir  0.0000  0.0000  0.7139
Ir  0.0000  0.5000  0.2139
Ir  0.5000  0.0000  0.1289
Ir  0.5000  0.5000  0.6289

The 10 most intense peaks (2θ = 5–70°), by angle:
2θ = 25.94°, intensity 34
2θ = 34.76°, intensity 82
2θ = 36.69°, intensity 100
2θ = 38.33°, intensity 47
2θ = 42.54°, intensity 40
2θ = 43.43°, intensity 37
2θ = 45.93°, intensity 20
2θ = 53.10°, intensity 18
2θ = 58.59°, intensity 28
2θ = 69.44°, intensity 17

***

Calculated powder XRD pattern
Compound: ErZnGa2Ir4
Radiation: copper Kα
Structure: a structure optimized by DFT (GGA-PBE)
Kinematic intensities with the Lorentz-polarization factor, no thermal factor.

Atomic structure:
Cell: 4.3939 4.3939 6.3590 Å, 90.00 90.00 90.00°
Sites, in units of the cell vectors:
Er  0.0000  0.0000  0.0000
Zn  0.5000  0.5000  0.5000
Ga  0.0000  0.0000  0.5000
Ga  0.5000  0.5000  0.0000
Ir  0.0000  0.5000  0.2697
Ir  0.0000  0.5000  0.7303
Ir  0.5000  0.0000  0.2697
Ir  0.5000  0.0000  0.7303

The 10 most intense peaks (2θ = 5–70°), by angle:
2θ = 28.06°, intensity 6
2θ = 28.73°, intensity 14
2θ = 32.06°, intensity 5
2θ = 40.60°, intensity 100
2θ = 41.09°, intensity 50
2θ = 50.49°, intensity 5
2θ = 58.02°, intensity 8
2θ = 59.50°, intensity 17
2θ = 60.71°, intensity 3
2θ = 67.40°, intensity 3

***

Calculated powder XRD pattern
Compound: ErZrGa4Ir2
Radiation: copper Kα
Structure: a structure optimized by DFT (GGA-PBE)
Kinematic intensities with the Lorentz-polarization factor, no thermal factor.

Atomic structure:
Cell: 6.6517 4.2506 9.9430 Å, 90.00 90.00 90.00°
Sites, in units of the cell vectors:
Er  0.0000  0.0000  0.0000
Er  0.0000  0.5000  0.5000
Zr  0.5000  0.0000  0.8362
Zr  0.5000  0.5000  0.3362
Ga  0.2032  0.0000  0.2865
Ga  0.2032  0.5000  0.7865
Ga  0.3045  0.0000  0.5504
Ga  0.3045  0.5000  0.0504
Ga  0.6955  0.0000  0.5504
Ga  0.6955  0.5000  0.0504
Ga  0.7968  0.0000  0.2865
Ga  0.7968  0.5000  0.7865
Ir  0.0000  0.0000  0.7112
Ir  0.0000  0.5000  0.2112
Ir  0.5000  0.0000  0.1227
Ir  0.5000  0.5000  0.6227

The 10 most intense peaks (2θ = 5–70°), by angle:
2θ = 17.84°, intensity 23
2θ = 26.45°, intensity 23
2θ = 26.81°, intensity 29
2θ = 35.44°, intensity 83
2θ = 36.95°, intensity 100
2θ = 38.67°, intensity 47
2θ = 42.54°, intensity 45
2θ = 44.07°, intensity 41
2θ = 47.12°, intensity 27
2θ = 58.83°, intensity 28

***

Calculated powder XRD pattern
Compound: Er2TmLuGa2
Radiation: copper Kα
Structure: a structure optimized by DFT (GGA-PBE)
Kinematic intensities with the Lorentz-polarization factor, no thermal factor.

Atomic structure:
Cell: 5.0917 5.0917 6.5078 Å, 90.00 90.00 120.00°
Sites, in units of the cell vectors:
Er  0.0000  0.0000  0.2489
Er  0.0000  0.0000  0.7511
Tm  0.3333  0.6667  0.5000
Lu  0.6667  0.3333  0.0000
Ga  0.3333  0.6667  0.0000
Ga  0.6667  0.3333  0.5000

The 10 most intense peaks (2θ = 5–70°), by angle:
2θ = 20.14°, intensity 4
2θ = 24.38°, intensity 20
2θ = 34.25°, intensity 100
2θ = 35.25°, intensity 94
2θ = 43.33°, intensity 5
2θ = 49.97°, intensity 35
2θ = 56.57°, intensity 8
2θ = 62.62°, intensity 35
2θ = 63.27°, intensity 17
2θ = 68.44°, intensity 27

***

Calculated powder XRD pattern
Compound: ErMgGa
Radiation: copper Kα
Structure: a structure optimized by DFT (GGA-PBE)
Kinematic intensities with the Lorentz-polarization factor, no thermal factor.

Atomic structure:
Cell: 7.2154 7.2154 4.4113 Å, 90.00 90.00 120.00°
Sites, in units of the cell vectors:
Er  0.0000  0.4275  0.0000
Er  0.4275  0.0000  0.0000
Er  0.5725  0.5725  0.0000
Mg  0.0000  0.7564  0.5000
Mg  0.2436  0.2436  0.5000
Mg  0.7564  0.0000  0.5000
Ga  0.0000  0.0000  0.0000
Ga  0.3333  0.6667  0.5000
Ga  0.6667  0.3333  0.5000

The 10 most intense peaks (2θ = 5–70°), by angle:
2θ = 20.13°, intensity 27
2θ = 28.57°, intensity 34
2θ = 32.05°, intensity 73
2θ = 35.20°, intensity 100
2θ = 38.10°, intensity 24
2θ = 40.92°, intensity 24
2θ = 43.46°, intensity 27
2θ = 50.64°, intensity 23
2θ = 57.11°, intensity 44
2θ = 68.89°, intensity 35

***

Calculated powder XRD pattern
Compound: Er2Mg3GaNi2
Radiation: copper Kα
Structure: a structure optimized by DFT (GGA-PBE)
Kinematic intensities with the Lorentz-polarization factor, no thermal factor.

Atomic structure:
Cell: 9.7339 4.0684 7.8274 Å, 90.00 90.83 90.00°
Sites, in units of the cell vectors:
Er  0.0000  0.0000  0.0000
Er  0.1233  0.0000  0.5274
Er  0.5000  0.5000  0.0000
Er  0.6233  0.5000  0.5274
Mg  0.2116  0.5000  0.8193
Mg  0.2140  0.5000  0.2115
Mg  0.4125  0.0000  0.3225
Mg  0.7116  0.0000  0.8193
Mg  0.7140  0.0000  0.2115
Mg  0.9125  0.5000  0.3225
Ga  0.4127  0.0000  0.7110
Ga  0.9127  0.5000  0.7110
Ni  0.2971  0.0000  0.0032
Ni  0.3388  0.5000  0.5302
Ni  0.7971  0.5000  0.0032
Ni  0.8388  0.0000  0.5302

The 10 most intense peaks (2θ = 5–70°), by angle:
2θ = 22.72°, intensity 87
2θ = 23.70°, intensity 76
2θ = 32.97°, intensity 100
2θ = 33.16°, intensity 79
2θ = 37.14°, intensity 65
2θ = 37.39°, intensity 100
2θ = 38.59°, intensity 39
2θ = 38.92°, intensity 45
2θ = 44.54°, intensity 48
2θ = 49.87°, intensity 31

***

Calculated powder XRD pattern
Compound: ErMgGa2Pt4
Radiation: copper Kα
Structure: a structure optimized by DFT (GGA-PBE)
Kinematic intensities with the Lorentz-polarization factor, no thermal factor.

Atomic structure:
Cell: 4.5550 4.5550 6.4555 Å, 90.00 90.00 90.00°
Sites, in units of the cell vectors:
Er  0.0000  0.0000  0.0000
Mg  0.5000  0.5000  0.5000
Ga  0.0000  0.0000  0.5000
Ga  0.5000  0.5000  0.0000
Pt  0.0000  0.5000  0.2680
Pt  0.0000  0.5000  0.7320
Pt  0.5000  0.0000  0.2680
Pt  0.5000  0.0000  0.7320

The 10 most intense peaks (2θ = 5–70°), by angle:
2θ = 19.49°, intensity 3
2θ = 27.68°, intensity 19
2θ = 31.03°, intensity 5
2θ = 39.54°, intensity 100
2θ = 48.95°, intensity 5
2θ = 57.07°, intensity 5
2θ = 57.20°, intensity 12
2θ = 59.06°, intensity 3
2θ = 64.65°, intensity 4
2θ = 64.72°, intensity 3

***

Calculated powder XRD pattern
Compound: Er2TmMg3TlGa2
Radiation: copper Kα
Structure: a structure optimized by DFT (GGA-PBE)
Kinematic intensities with the Lorentz-polarization factor, no thermal factor.

Atomic structure:
Cell: 4.5219 7.2724 7.2724 Å, 119.92 90.00 90.00°
Sites, in units of the cell vectors:
Er  0.0000  0.2190  0.7810
Er  0.0000  0.7810  0.2190
Tm  0.0000  0.6569  0.6569
Mg  0.5000  0.2192  0.4697
Mg  0.5000  0.4697  0.2192
Mg  0.5000  0.9686  0.9686
Tl  0.0000  0.2200  0.2200
Ga  0.5000  0.5527  0.8853
Ga  0.5000  0.8853  0.5527

The 10 most intense peaks (2θ = 5–70°), by angle:
2θ = 19.63°, intensity 31
2θ = 24.47°, intensity 13
2θ = 28.33°, intensity 43
2θ = 31.57°, intensity 26
2θ = 34.70°, intensity 100
2θ = 39.87°, intensity 20
2θ = 42.92°, intensity 14
2θ = 49.63°, intensity 19
2θ = 56.45°, intensity 15
2θ = 69.08°, intensity 14